This entry pairs a crystal structure of Ac2ZnSiRh6 with its calculated X-ray diffraction stick pattern. Radiation: Cu Kα. Structure: a crystal structure in Alexandria, relaxed with GGA-PBE.
Neutral-atom scattering factors, no anomalous dispersion.

Most intense lines, 5° ≤ 2θ ≤ 70°, sorted by position:
| index | two_theta | I/Imax |
| --- | --- | --- |
| 1 1 0 | 19.19 | 4 |
| 2 0 0 | 27.28 | 29 |
| 2 0 2 | 33.57 | 100 |
| 2 2 0 | 38.96 | 73 |
| 3 1 0 | 43.78 | 3 |
| 3 1 2 | 48.21 | 13 |
| 2 2 4 | 56.26 | 41 |
| 4 0 0 | 56.32 | 8 |
| 4 2 0 | 63.64 | 6 |
| 4 2 2 | 67.14 | 40 |

Cell and atoms:
Unit cell a=6.534 b=6.546 c=9.246 alpha=90.00 beta=90.00 gamma=90.00
Space group Immm (No. 71)
Symmetry-distinct sites (fractional):
Ac: 0.000 0.000 0.250 x4
Zn: 0.000 0.500 0.000 x2
Si: 0.000 0.500 0.500 x2
Rh: 0.000 0.500 0.258 x4
Rh: 0.242 0.258 0.500 x8